Calculated powder X-ray diffraction pattern
Compound: La2Ho3Pt4
Radiation: Cu Kα (λ = 1.5418 Å)
Structure: a structure optimized by DFT (PBE)
Lines closer than 0.1° are merged.

Atomic structure:
Cell lengths 7.6345, 7.6707, 7.9612 Å; angles 90.00, 109.25, 90.00 degrees
Space group P2_1/c (No. 14)
One atom of each set of equivalent atoms:
La (0.1975, 0.1764, 0.0857) [4 per cell]
Ho (0.2465, 0.6623, 0.2491) [4 per cell]
Ho (0.5000, 0.0000, 0.5000) [2 per cell]
Pt (0.0937, 0.5401, 0.8665) [4 per cell]
Pt (0.4996, 0.1354, 0.8725) [4 per cell]

Top 10 peaks for 2θ from 5° to 70°, in order of rising 2θ:
hkl 2 1 -2, 30.46°, I 36
hkl 1 2 1, 30.59°, I 28
hkl 1 1 2, 32.45°, I 81
hkl 1 2 -2, 32.75°, I 34
hkl 2 1 1, 33.04°, I 23
hkl 2 2 -1, 33.33°, I 100
hkl 2 2 0, 34.14°, I 28
hkl 1 1 -3, 35.81°, I 92
hkl 0 3 1, 37.16°, I 85
hkl 3 0 0, 37.43°, I 31